Starting from a structure optimized by DFT (PBE), the X-ray diffraction stick pattern of KHfCl6 was computed for Cu Kα (weighted mean of Kα1 and Kα2).
Peak positions follow from Bragg's law for the DFT cell and can differ from measured ones.

Atomic structure:
```
KHfCl6
1.0
4.186 -4.779 0.000
4.186 4.779 0.000
-1.310 0.000 6.017
K Hf Cl
1 1 6
direct
0.000 0.000 0.000 K
0.500 0.500 0.500 Hf
0.223 0.223 0.568 Cl
0.232 0.593 0.216 Cl
0.407 0.768 0.784 Cl
0.593 0.232 0.216 Cl
0.768 0.407 0.784 Cl
0.777 0.777 0.432 Cl
```

Most intense lines, 2θ from 5° to 70°, by intensity:
2θ = 14.25°, rel. 1000
2θ = 18.80°, rel. 671
2θ = 35.24°, rel. 516
2θ = 23.78°, rel. 498
2θ = 22.16°, rel. 440
2θ = 14.72°, rel. 439
2θ = 34.40°, rel. 435
2θ = 34.71°, rel. 414
2θ = 18.57°, rel. 345
2θ = 21.73°, rel. 289
2θ = 48.71°, rel. 286
2θ = 38.13°, rel. 201



Starting from a structure optimized by DFT (PBE), the X-ray diffraction stick pattern of Ac4Tb4Y3 was computed for Cu Kα (weighted mean of Kα1 and Kα2).
Peak positions follow from Bragg's law for the DFT cell and can differ from measured ones.

Atomic structure:
```
Ac4Tb4Y3
1.0
3.687 0.000 0.000
0.000 5.795 0.000
0.035 2.888 18.877
Ac Tb Y
4 4 3
direct
0.000 0.000 0.000 Ac
0.001 0.632 0.738 Ac
0.498 0.814 0.373 Ac
0.499 0.442 0.116 Ac
0.001 0.259 0.484 Tb
0.501 0.178 0.646 Tb
0.501 0.541 0.917 Tb
0.999 0.901 0.199 Tb
0.501 0.087 0.826 Y
0.502 0.721 0.560 Y
0.997 0.355 0.291 Y
```

Most intense lines, 2θ from 5° to 70°, by intensity:
2θ = 29.58°, rel. 1000
2θ = 30.27°, rel. 935
2θ = 30.77°, rel. 564
2θ = 30.86°, rel. 486
2θ = 44.14°, rel. 426
2θ = 59.06°, rel. 214
2θ = 54.51°, rel. 189
2θ = 54.09°, rel. 189
2θ = 54.81°, rel. 171
2θ = 19.31°, rel. 170
2θ = 59.42°, rel. 154
2θ = 49.43°, rel. 148



Starting from a structure optimized by DFT (PBE), the X-ray diffraction stick pattern of Sr4In17Au15 was computed for Cu Kα (weighted mean of Kα1 and Kα2).
Peak positions follow from Bragg's law for the DFT cell and can differ from measured ones.

Atomic structure:
```
Sr4In17Au15
1.0
13.069 0.000 0.000
0.000 4.449 0.000
-0.127 0.000 14.692
Sr In Au
4 17 15
direct
0.000 0.000 0.000 Sr
0.188 0.500 0.416 Sr
0.493 0.500 0.918 Sr
0.693 0.000 0.506 Sr
0.069 0.500 0.628 In
0.128 0.000 0.787 In
0.173 0.000 0.211 In
0.291 0.000 0.009 In
0.311 0.500 0.691 In
0.373 0.500 0.192 In
0.396 0.000 0.510 In
0.514 0.000 0.714 In
0.561 0.000 0.297 In
0.611 0.500 0.149 In
0.682 0.500 0.709 In
0.698 0.000 0.023 In
0.806 0.000 0.235 In
0.807 0.500 0.901 In
0.883 0.000 0.728 In
0.897 0.500 0.413 In
0.999 0.500 0.203 In
0.002 0.000 0.326 Au
0.178 0.500 0.091 Au
0.205 0.000 0.596 Au
0.209 0.500 0.899 Au
0.342 0.000 0.818 Au
0.344 0.000 0.320 Au
0.479 0.500 0.402 Au
0.484 0.000 0.095 Au
0.507 0.500 0.594 Au
0.689 0.000 0.832 Au
0.702 0.500 0.332 Au
0.823 0.500 0.095 Au
0.852 0.500 0.602 Au
0.987 0.000 0.520 Au
0.996 0.500 0.819 Au
```

Most intense lines, 2θ from 5° to 70°, by intensity:
2θ = 40.55°, rel. 1000
2θ = 31.59°, rel. 791
2θ = 40.51°, rel. 599
2θ = 39.16°, rel. 585
2θ = 39.34°, rel. 576
2θ = 42.16°, rel. 530
2θ = 31.28°, rel. 517
2θ = 31.14°, rel. 456
2θ = 42.51°, rel. 382
2θ = 36.33°, rel. 371
2θ = 14.84°, rel. 343
2θ = 21.95°, rel. 336



Starting from a structure optimized by DFT (PBE), the X-ray diffraction stick pattern of KPaPb2S5 was computed for Cu Kα (weighted mean of Kα1 and Kα2).
Peak positions follow from Bragg's law for the DFT cell and can differ from measured ones.

Atomic structure:
```
KPaPb2S5
1.0
-2.589 3.683 7.110
2.589 -3.683 7.110
2.589 3.683 -7.110
K Pa Pb S
1 1 2 5
direct
0.000 0.000 0.000 K
0.500 0.500 0.000 Pa
0.286 0.786 0.500 Pb
0.714 0.214 0.500 Pb
0.123 0.364 0.759 S
0.395 0.636 0.759 S
0.500 0.000 0.500 S
0.605 0.364 0.241 S
0.877 0.636 0.241 S
```

Most intense lines, 2θ from 5° to 70°, by intensity:
2θ = 24.46°, rel. 1000
2θ = 13.54°, rel. 533
2θ = 42.69°, rel. 352
2θ = 35.40°, rel. 295
2θ = 35.08°, rel. 258
2θ = 24.16°, rel. 234
2θ = 33.78°, rel. 212
2θ = 34.65°, rel. 205
2θ = 50.14°, rel. 184
2θ = 49.17°, rel. 152
2θ = 56.25°, rel. 135
2θ = 25.05°, rel. 116



Starting from a structure optimized by DFT (PBE), the X-ray diffraction stick pattern of Tm3Ni4As4 was computed for Cu Kα (weighted mean of Kα1 and Kα2).
Peak positions follow from Bragg's law for the DFT cell and can differ from measured ones.

Atomic structure:
```
Tm3Ni4As4
1.0
-2.021 3.337 6.651
2.021 -3.337 6.651
2.021 3.337 -6.651
Tm Ni As
3 4 4
direct
0.000 0.000 0.000 Tm
0.371 0.871 0.500 Tm
0.629 0.129 0.500 Tm
0.021 0.326 0.695 Ni
0.369 0.674 0.695 Ni
0.631 0.326 0.305 Ni
0.979 0.674 0.305 Ni
0.216 0.216 0.000 As
0.294 0.500 0.794 As
0.706 0.500 0.206 As
0.784 0.784 0.000 As
```

Most intense lines, 2θ from 5° to 70°, by intensity:
2θ = 35.53°, rel. 1000
2θ = 37.52°, rel. 915
2θ = 44.84°, rel. 347
2θ = 36.35°, rel. 303
2θ = 45.63°, rel. 255
2θ = 65.89°, rel. 166
2θ = 59.04°, rel. 148
2θ = 40.55°, rel. 142
2θ = 40.70°, rel. 134
2θ = 49.27°, rel. 130
2θ = 26.72°, rel. 127
2θ = 24.10°, rel. 122



Starting from a structure optimized by DFT (PBE), the X-ray diffraction stick pattern of Cd2Hg3H was computed for Cu Kα (weighted mean of Kα1 and Kα2).
Peak positions follow from Bragg's law for the DFT cell and can differ from measured ones.

Atomic structure:
```
Cd2Hg3H
1.0
5.808 -2.757 0.000
5.808 2.757 0.000
-1.774 0.000 8.647
Cd Hg H
4 6 2
direct
0.021 0.021 0.264 Cd
0.396 0.396 0.857 Cd
0.604 0.604 0.143 Cd
0.979 0.979 0.736 Cd
0.174 0.174 0.010 Hg
0.204 0.204 0.565 Hg
0.420 0.420 0.365 Hg
0.580 0.580 0.635 Hg
0.796 0.796 0.435 Hg
0.826 0.826 0.990 Hg
0.307 0.307 0.199 H
0.693 0.693 0.801 H
```

Most intense lines, 2θ from 5° to 70°, by intensity:
2θ = 32.46°, rel. 1000
2θ = 28.32°, rel. 369
2θ = 43.62°, rel. 232
2θ = 44.21°, rel. 229
2θ = 42.99°, rel. 225
2θ = 57.91°, rel. 186
2θ = 67.98°, rel. 114
2θ = 66.17°, rel. 69
2θ = 65.25°, rel. 66
2θ = 28.56°, rel. 65
2θ = 46.26°, rel. 55
2θ = 67.72°, rel. 42



Starting from a structure optimized by DFT (PBE), the X-ray diffraction stick pattern of Rb5Zr2O6 was computed for Cu Kα (weighted mean of Kα1 and Kα2).
Peak positions follow from Bragg's law for the DFT cell and can differ from measured ones.

Atomic structure:
```
Rb5Zr2O6
1.0
5.752 -4.074 0.000
5.752 4.074 0.000
-1.329 0.000 15.167
Rb Zr O
10 4 12
direct
0.067 0.933 0.750 Rb
0.190 0.724 0.030 Rb
0.276 0.810 0.470 Rb
0.321 0.377 0.300 Rb
0.377 0.321 0.800 Rb
0.623 0.679 0.200 Rb
0.679 0.623 0.700 Rb
0.724 0.190 0.530 Rb
0.810 0.276 0.970 Rb
0.933 0.067 0.250 Rb
0.146 0.402 0.579 Zr
0.402 0.146 0.079 Zr
0.598 0.854 0.921 Zr
0.854 0.598 0.421 Zr
0.044 0.275 0.666 O
0.077 0.325 0.447 O
0.275 0.044 0.166 O
0.325 0.077 0.947 O
0.393 0.457 0.618 O
0.457 0.393 0.118 O
0.543 0.607 0.882 O
0.607 0.543 0.382 O
0.675 0.923 0.053 O
0.725 0.956 0.834 O
0.923 0.675 0.553 O
0.956 0.725 0.334 O
```

Most intense lines, 2θ from 5° to 70°, by intensity:
2θ = 24.81°, rel. 1000
2θ = 29.36°, rel. 792
2θ = 26.47°, rel. 620
2θ = 26.88°, rel. 544
2θ = 30.13°, rel. 531
2θ = 25.76°, rel. 499
2θ = 28.13°, rel. 488
2θ = 14.83°, rel. 424
2θ = 27.48°, rel. 414
2θ = 34.35°, rel. 406
2θ = 14.29°, rel. 359
2θ = 25.96°, rel. 314



Starting from a structure optimized by DFT (PBE), the X-ray diffraction stick pattern of Ba2PmTlO5 was computed for Cu Kα (weighted mean of Kα1 and Kα2).
Peak positions follow from Bragg's law for the DFT cell and can differ from measured ones.

Atomic structure:
```
Ba2PmTlO5
1.0
1.842 -7.605 0.000
1.842 7.605 0.000
0.000 0.000 11.644
Ba Pm Tl O
4 2 2 10
direct
0.112 0.888 0.500 Ba
0.137 0.863 0.090 Ba
0.863 0.137 0.590 Ba
0.888 0.112 0.000 Ba
0.218 0.782 0.809 Pm
0.782 0.218 0.309 Pm
0.481 0.519 0.268 Tl
0.519 0.481 0.768 Tl
0.058 0.942 0.859 O
0.282 0.718 0.443 O
0.308 0.692 0.181 O
0.369 0.631 0.805 O
0.495 0.505 0.586 O
0.505 0.495 0.086 O
0.631 0.369 0.305 O
0.692 0.308 0.681 O
0.718 0.282 0.943 O
0.942 0.058 0.359 O
```

Most intense lines, 2θ from 5° to 70°, by intensity:
2θ = 28.03°, rel. 1000
2θ = 29.28°, rel. 892
2θ = 29.98°, rel. 735
2θ = 34.07°, rel. 536
2θ = 25.77°, rel. 431
2θ = 36.27°, rel. 357
2θ = 51.28°, rel. 323
2θ = 30.71°, rel. 321
2θ = 43.46°, rel. 314
2θ = 30.97°, rel. 313
2θ = 57.85°, rel. 306
2θ = 56.62°, rel. 258



Please write out number 4 again, unchanged.
Starting from a structure optimized by DFT (PBE), the X-ray diffraction stick pattern of KPaPb2S5 was computed for Cu Kα (weighted mean of Kα1 and Kα2).
Peak positions follow from Bragg's law for the DFT cell and can differ from measured ones.

Atomic structure:
```
KPaPb2S5
1.0
-2.589 3.683 7.110
2.589 -3.683 7.110
2.589 3.683 -7.110
K Pa Pb S
1 1 2 5
direct
0.000 0.000 0.000 K
0.500 0.500 0.000 Pa
0.286 0.786 0.500 Pb
0.714 0.214 0.500 Pb
0.123 0.364 0.759 S
0.395 0.636 0.759 S
0.500 0.000 0.500 S
0.605 0.364 0.241 S
0.877 0.636 0.241 S
```

Most intense lines, 2θ from 5° to 70°, by intensity:
2θ = 24.46°, rel. 1000
2θ = 13.54°, rel. 533
2θ = 42.69°, rel. 352
2θ = 35.40°, rel. 295
2θ = 35.08°, rel. 258
2θ = 24.16°, rel. 234
2θ = 33.78°, rel. 212
2θ = 34.65°, rel. 205
2θ = 50.14°, rel. 184
2θ = 49.17°, rel. 152
2θ = 56.25°, rel. 135
2θ = 25.05°, rel. 116